Calculated powder diffractogram
Compound: LiFeF4
Radiation: Cu Kα (weighted mean of Kα1 and Kα2)
Structure: a crystal structure in Alexandria, relaxed with PBE+U
Peak positions follow from Bragg's law for the DFT cell and can differ from measured ones.

Largest 10 diffraction maxima, in order of falling intensity, 10 to 80 degrees two-theta:
Position (°2θ)	Rel. int.
18.88	100
41.57	92
23.51	88
39.63	55
24.61	53
29.86	51
30.78	43
15.63	38
64.05	33
54.37	29

Crystal structure
Cell lengths 4.7035, 5.6682, 5.0861 Å; angles 90.00, 92.34, 90.00 degrees
Space group P2/c (No. 13)
Inequivalent atoms, fractional coordinates:
Li  0.0000  0.1393  0.2500 [2 per cell]
Fe  0.5000  0.3350  0.7500 [2 per cell]
F  0.2381  0.1234  0.5894 [4 per cell]
F  0.2808  0.3904  0.0714 [4 per cell]